Entry 1:
Computed powder XRD pattern of MgBiMoO5 for λ = 1.5418 Å (Cu Kα), from a structure optimized by DFT (GGA+U).
Neutral-atom scattering factors, no anomalous dispersion.

Largest 10 diffraction maxima, by intensity, 2θ from 10° to 80°:
| h k l | Position (°2θ) | intensity |
| --- | --- | --- |
| 1 2 1 | 29.14 | 1000 |
| 1 1 -2 | 24.04 | 892 |
| 1 0 0 | 17.84 | 654 |
| 1 3 -2 | 32.28 | 441 |
| 0 2 1 | 18.87 | 389 |
| 0 4 0 | 30.16 | 345 |
| 0 1 2 | 24.22 | 323 |
| 2 1 -1 | 34.04 | 300 |
| 1 1 -1 | 18.52 | 286 |
| 0 3 2 | 32.41 | 231 |

Cell and atoms:
abc: 5.4220 11.8508 8.4299
angles: 90.00 113.52 90.00
Fractional positions:
Mg1 0.0599 0.0789 0.1715
Mg2 0.0599 0.4211 0.6715
Mg3 0.9401 0.5789 0.3285
Mg4 0.9401 0.9211 0.8285
Bi1 0.4448 0.1036 0.8446
Bi2 0.4448 0.3964 0.3446
Bi3 0.5552 0.6036 0.6554
Bi4 0.5552 0.8964 0.1554
Mo1 0.2969 0.6376 0.0251
Mo2 0.2969 0.8624 0.5251
Mo3 0.7031 0.1376 0.4749
Mo4 0.7031 0.3624 0.9749
O1 0.1661 0.5720 0.1716
O2 0.1661 0.9280 0.6716
O3 0.1959 0.7065 0.4784
O4 0.1959 0.7935 0.9784
O5 0.2564 0.0276 0.0127
O6 0.2564 0.4724 0.5127
O7 0.2787 0.5662 0.8251
O8 0.2787 0.9338 0.3251
O9 0.3495 0.1843 0.3403
O10 0.3495 0.3157 0.8403
O11 0.6505 0.6843 0.1597
O12 0.6505 0.8157 0.6597
O13 0.7213 0.0662 0.6749
O14 0.7213 0.4338 0.1749
O15 0.7436 0.5276 0.4873
O16 0.7436 0.9724 0.9873
O17 0.8041 0.2065 0.0216
O18 0.8041 0.2935 0.5216
O19 0.8339 0.0720 0.3284
O20 0.8339 0.4280 0.8284

***

Entry 2:
Computed powder XRD pattern of NaMgV2Bi3O10 for λ = 1.5418 Å (Cu Kα), from a structure optimized by DFT (GGA+U).
Neutral-atom scattering factors, no anomalous dispersion.

Largest 10 diffraction maxima, by intensity, 2θ from 10° to 80°:
| h k l | Position (°2θ) | intensity |
| --- | --- | --- |
| 0 1 0 | 13.41 | 1000 |
| 1 -2 0 | 28.26 | 916 |
| 1 -1 1 | 22.59 | 844 |
| 0 1 -1 | 15.11 | 827 |
| 0 0 2 | 26.54 | 768 |
| 1 0 1 | 23.30 | 663 |
| 2 0 0 | 31.18 | 554 |
| 1 1 -1 | 20.70 | 533 |
| 0 1 2 | 34.00 | 530 |
| 2 0 -2 | 34.25 | 433 |

Cell and atoms:
abc: 6.0715 7.1047 7.4379
angles: 108.22 105.00 96.26
Fractional positions:
Na1 0.0000 0.0000 0.0000
Mg1 0.7975 0.3130 0.7442
V1 0.3307 0.6071 0.6986
V2 0.7496 0.9334 0.4166
Bi1 0.2213 0.5517 0.1545
Bi2 0.3034 0.1453 0.7504
Bi3 0.7552 0.3479 0.2891
O1 0.1227 0.4439 0.7733
O2 0.1465 0.5289 0.4262
O3 0.3505 0.8687 0.8261
O4 0.3520 0.2750 0.0718
O5 0.5677 0.1116 0.4812
O6 0.5826 0.5096 0.7384
O7 0.6234 0.6624 0.3209
O8 0.8612 0.3309 0.0295
O9 0.8805 0.0399 0.2702
O10 0.9394 0.0249 0.6849

***

Entry 3:
Computed powder XRD pattern of NaMgV2Bi3O10 for λ = 1.5418 Å (Cu Kα), from a structure optimized by DFT (GGA+U).
Neutral-atom scattering factors, no anomalous dispersion.

Largest 10 diffraction maxima, by intensity, 2θ from 10° to 80°:
| h k l | Position (°2θ) | intensity |
| --- | --- | --- |
| 0 1 0 | 13.19 | 1000 |
| 1 0 1 | 24.39 | 847 |
| 1 0 -2 | 26.92 | 826 |
| 1 -2 0 | 27.82 | 733 |
| 0 1 -1 | 14.73 | 482 |
| 1 1 -1 | 21.34 | 473 |
| 1 -1 1 | 22.96 | 424 |
| 1 2 -1 | 30.97 | 365 |
| 1 1 -3 | 37.14 | 356 |
| 2 0 -1 | 31.76 | 348 |

Cell and atoms:
abc: 5.7112 7.3409 7.3955
angles: 109.80 104.32 97.53
Fractional positions:
Na1 0.0000 0.0000 0.0000
Mg1 0.3580 0.2468 0.4082
V1 0.5342 0.6710 0.8005
V2 0.8679 0.9929 0.5031
Bi1 0.3050 0.5812 0.1938
Bi2 0.5265 0.2130 0.8816
Bi3 0.8901 0.4268 0.4257
O1 0.0127 0.1253 0.3628
O2 0.0964 0.0578 0.7361
O3 0.3170 0.5324 0.5200
O4 0.3694 0.4942 0.8965
O5 0.4371 0.3088 0.1818
O6 0.5325 0.9235 0.9264
O7 0.6204 0.1390 0.5251
O8 0.7337 0.7305 0.3651
O9 0.8254 0.6344 0.8095
O10 0.9303 0.3661 0.1261

***

Entry 4:
Computed powder XRD pattern of MgNiBiO5 for λ = 1.5418 Å (Cu Kα), from a structure optimized by DFT (GGA+U).
Neutral-atom scattering factors, no anomalous dispersion.

Largest 10 diffraction maxima, by intensity, 2θ from 10° to 80°:
| h k l | Position (°2θ) | intensity |
| --- | --- | --- |
| 1 0 0 | 17.56 | 1000 |
| 1 1 -2 | 25.14 | 651 |
| 1 2 1 | 29.51 | 613 |
| 0 1 2 | 24.33 | 524 |
| 0 3 2 | 34.49 | 411 |
| 0 2 1 | 20.43 | 329 |
| 1 3 -2 | 35.07 | 290 |
| 1 4 0 | 38.77 | 236 |
| 2 0 0 | 35.51 | 233 |
| 3 3 -2 | 58.27 | 220 |

Cell and atoms:
abc: 5.3616 10.4619 8.3052
angles: 90.00 109.66 90.00
Fractional positions:
Mg1 0.0321 0.0906 0.1681
Mg2 0.0321 0.4094 0.6681
Mg3 0.9679 0.5906 0.3319
Mg4 0.9679 0.9094 0.8319
Ni1 0.3800 0.6159 0.0605
Ni2 0.3800 0.8841 0.5605
Ni3 0.6200 0.1159 0.4395
Ni4 0.6200 0.3841 0.9395
Bi1 0.4732 0.1048 0.8423
Bi2 0.4732 0.3952 0.3423
Bi3 0.5268 0.6048 0.6577
Bi4 0.5268 0.8952 0.1577
O1 0.1982 0.5331 0.1847
O2 0.1982 0.9669 0.6847
O3 0.2150 0.7198 0.4955
O4 0.2150 0.7802 0.9955
O5 0.2522 0.0419 0.0062
O6 0.2522 0.4581 0.5062
O7 0.3143 0.2092 0.3079
O8 0.3143 0.2908 0.8079
O9 0.3449 0.5437 0.8428
O10 0.3449 0.9563 0.3428
O11 0.6551 0.0437 0.6572
O12 0.6551 0.4563 0.1572
O13 0.6857 0.7092 0.1921
O14 0.6857 0.7908 0.6921
O15 0.7478 0.5419 0.4938
O16 0.7478 0.9581 0.9938
O17 0.7850 0.2198 0.0045
O18 0.7850 0.2802 0.5045
O19 0.8018 0.0331 0.3153
O20 0.8018 0.4669 0.8153

***

Entry 5:
Computed powder XRD pattern of MgNiBiP2O9 for λ = 1.5418 Å (Cu Kα), from a structure optimized by DFT (GGA+U).
Neutral-atom scattering factors, no anomalous dispersion.

Largest 10 diffraction maxima, by intensity, 2θ from 10° to 80°:
| h k l | Position (°2θ) | intensity |
| --- | --- | --- |
| 2 0 1 | 16.93 | 1000 |
| 1 0 2 | 23.81 | 840 |
| 0 1 1 | 17.63 | 734 |
| 1 2 1 | 30.04 | 540 |
| 2 1 0 | 18.32 | 529 |
| 2 2 1 | 32.00 | 484 |
| 0 2 0 | 26.95 | 445 |
| 0 4 0 | 55.54 | 394 |
| 3 0 2 | 29.79 | 393 |
| 1 1 1 | 18.71 | 342 |

Cell and atoms:
abc: 14.2149 6.6169 7.7462
angles: 90.00 90.00 90.00
Fractional positions:
Mg1 0.2019 0.2500 0.0432
Mg2 0.2981 0.7500 0.5432
Mg3 0.7019 0.2500 0.4568
Mg4 0.7981 0.7500 0.9568
Ni1 0.0000 0.0000 0.0000
Ni2 0.0000 0.5000 0.0000
Ni3 0.5000 0.0000 0.5000
Ni4 0.5000 0.5000 0.5000
Bi1 0.1169 0.2500 0.6334
Bi2 0.3831 0.7500 0.1334
Bi3 0.6169 0.2500 0.8666
Bi4 0.8831 0.7500 0.3666
P1 0.0943 0.7500 0.6591
P2 0.1771 0.7500 0.1421
P3 0.3229 0.2500 0.6421
P4 0.4057 0.2500 0.1591
P5 0.5943 0.7500 0.8409
P6 0.6771 0.7500 0.3579
P7 0.8229 0.2500 0.8579
P8 0.9057 0.2500 0.3409
O1 0.0284 0.7500 0.5015
O2 0.0404 0.7500 0.8298
O3 0.0718 0.2500 0.9038
O4 0.1208 0.5484 0.1356
O5 0.1208 0.9516 0.1356
O6 0.1665 0.5738 0.6432
O7 0.1665 0.9262 0.6432
O8 0.2412 0.7500 0.3055
O9 0.2476 0.7500 0.9830
O10 0.2524 0.2500 0.4830
O11 0.2588 0.2500 0.8055
O12 0.3335 0.0738 0.1432
O13 0.3335 0.4262 0.1432
O14 0.3792 0.0484 0.6355
O15 0.3792 0.4516 0.6355
O16 0.4282 0.7500 0.4038
O17 0.4596 0.2500 0.3298
O18 0.4716 0.2500 0.0015
O19 0.5284 0.7500 0.9985
O20 0.5404 0.7500 0.6702
O21 0.5718 0.2500 0.5962
O22 0.6208 0.5484 0.3644
O23 0.6208 0.9516 0.3644
O24 0.6665 0.5738 0.8568
O25 0.6665 0.9262 0.8568
O26 0.7412 0.7500 0.1945
O27 0.7476 0.7500 0.5170
O28 0.7524 0.2500 0.0170
O29 0.7588 0.2500 0.6945
O30 0.8335 0.0738 0.3568
O31 0.8335 0.4262 0.3568
O32 0.8792 0.0484 0.8644
O33 0.8792 0.4516 0.8644
O34 0.9282 0.7500 0.0962
O35 0.9596 0.2500 0.1702
O36 0.9716 0.2500 0.4985

***

Question: Number 1 is which compound?
Answer: MgBiMoO5